(1)
This entry pairs a crystal structure of ScZn2Cu with its computed X-ray diffraction stick pattern. Radiation: a wavelength of 1.5418 Å. Structure: a GGA-PBE-relaxed structure.
Intensities are scaled so that the largest is 100.

Structure:
```
data_ScZn2Cu
_chemical_formula_sum 'Sc4 Zn8 Cu4'
_space_group_name_H-M_alt 'F m -3 m'
_space_group_IT_number 225
_space_group_name_Hall '-F 4 2 3'
_cell_length_a 6.268
_cell_length_b 6.268
_cell_length_c 6.268
_cell_angle_alpha 90.00
_cell_angle_beta 90.00
_cell_angle_gamma 90.00
loop_
_atom_site_label
_atom_site_type_symbol
_atom_site_fract_x
_atom_site_fract_y
_atom_site_fract_z
Sc1 Sc 0.000 0.000 0.000
Zn1 Zn 0.250 0.250 0.250
Cu1 Cu 0.000 0.000 0.500
```

Largest 8 diffraction maxima, by angle, 10° ≤ 2θ ≤ 80°:
3.619 Å, I = 2.2; 3.134 Å, I = 1.6; 2.216 Å, I = 100.0; 1.890 Å, I = 1.2; 1.809 Å, I = 0.5; 1.567 Å, I = 15.7; 1.401 Å, I = 0.7; 1.279 Å, I = 30.1


(2)
This entry pairs a crystal structure of Cu2Se with its computed X-ray diffraction stick pattern. Radiation: a wavelength of 1.5418 Å. Structure: a GGA-PBE-relaxed structure.
Intensities are scaled so that the largest is 100.

Structure:
```
data_Cu2Se
_chemical_formula_sum 'Cu8 Se4'
_space_group_name_H-M_alt 'P 43 21 2'
_space_group_IT_number 96
_cell_length_a 4.266
_cell_length_b 4.266
_cell_length_c 11.340
_cell_angle_alpha 90.00
_cell_angle_beta 90.00
_cell_angle_gamma 90.00
loop_
_space_group_symop_operation_xyz
'x,y,z'
'-y+1/2,x+1/2,z+3/4'
'-x,-y,z+1/2'
'y+1/2,-x+1/2,z+1/4'
'x+1/2,-y+1/2,-z+1/4'
'-y,-x,-z+1/2'
'-x+1/2,y+1/2,-z+3/4'
'y,x,-z'
loop_
_atom_site_label
_atom_site_type_symbol
_atom_site_fract_x
_atom_site_fract_y
_atom_site_fract_z
Cu1 Cu 0.020 0.345 0.423
Se1 Se 0.020 0.980 0.750
```

Largest 10 diffraction maxima, by angle, 10° ≤ 2θ ≤ 80°:
3.409 Å, I = 80.5; 2.915 Å, I = 100.0; 2.361 Å, I = 93.2; 2.133 Å, I = 39.4; 2.066 Å, I = 55.9; 1.996 Å, I = 26.4; 1.808 Å, I = 86.2; 1.728 Å, I = 33.3; 1.704 Å, I = 37.4; 1.460 Å, I = 19.4


(3)
This entry pairs a crystal structure of Cu2Se with its computed X-ray diffraction stick pattern. Radiation: a wavelength of 1.5418 Å. Structure: a GGA-PBE-relaxed structure.
Intensities are scaled so that the largest is 100.

Structure:
```
data_Cu2Se
_chemical_formula_sum 'Cu4 Se2'
_space_group_name_H-M_alt 'P m n 21'
_space_group_IT_number 31
_cell_length_a 4.138
_cell_length_b 6.014
_cell_length_c 4.072
_cell_angle_alpha 90.00
_cell_angle_beta 90.00
_cell_angle_gamma 90.00
loop_
_space_group_symop_operation_xyz
'x,y,z'
'-x+1/2,-y,z+1/2'
'-x,y,z'
'x+1/2,-y,z+1/2'
loop_
_atom_site_label
_atom_site_type_symbol
_atom_site_fract_x
_atom_site_fract_y
_atom_site_fract_z
Cu1 Cu 0.000 0.004 0.000
Cu2 Cu 0.000 0.559 0.116
Se1 Se 0.000 0.244 0.481
```

Largest 10 diffraction maxima, by angle, 10° ≤ 2θ ≤ 80°:
3.409 Å, I = 17.9; 3.372 Å, I = 51.4; 2.902 Å, I = 18.2; 2.614 Å, I = 11.9; 2.088 Å, I = 100.0; 2.069 Å, I = 32.9; 2.036 Å, I = 17.2; 1.804 Å, I = 16.5; 1.763 Å, I = 15.4; 1.748 Å, I = 12.5